Entry 1:
# Ca2In3Cu
Computed X-ray powder pattern, a wavelength of 1.5418 Å. Input: a structure optimized by DFT (GGA-PBE).

Atomic structure:
Cell: 11.266 4.771 7.579 Å, 90.00 131.62 90.00°
Space group Cm (No. 8)
One atom of each set of equivalent atoms:
Ca (0.000, 0.000, 0.000) (multiplicity 2)
Ca (0.086, 0.000, 0.586) (multiplicity 2)
In (0.204, 0.500, 0.391) (multiplicity 2)
In (0.362, 0.000, 0.164) (multiplicity 2)
In (0.402, 0.000, 0.614) (multiplicity 2)
Cu (0.214, 0.500, 0.015) (multiplicity 2)

Largest 12 diffraction maxima, in order of rising 2θ, 10° ≤ 2θ ≤ 80°:
two_theta, I (rel.), h k l
21.4, 38, 1 1 0
23.5, 49, 2 0 -2
30.8, 41, 3 1 -1
31.9, 99, 1 1 -2
32.1, 29, 3 1 -2
37.0, 20, 2 0 -3
37.2, 100, 3 1 0
37.3, 26, 4 0 -3
37.7, 58, 0 2 0
44.2, 25, 1 1 2
44.9, 18, 2 2 -2
46.2, 20, 5 1 -3

---

Entry 2:
# MgSi
Computed X-ray powder pattern, a wavelength of 1.5418 Å. Input: a structure optimized by DFT (GGA-PBE).

Atomic structure:
Cell: 5.783 5.863 13.955 Å, 77.88 84.67 88.42°
Space group P1 (No. 1)
One atom of each set of equivalent atoms:
Mg (0.000, 0.000, 0.000) (multiplicity 1)
Mg (0.006, 0.570, 0.911) (multiplicity 1)
Mg (0.055, 0.985, 0.672) (multiplicity 1)
Mg (0.077, 0.524, 0.590) (multiplicity 1)
Mg (0.170, 0.349, 0.311) (multiplicity 1)
Mg (0.210, 0.864, 0.257) (multiplicity 1)
Mg (0.500, 0.332, 0.957) (multiplicity 1)
Mg (0.523, 0.861, 0.884) (multiplicity 1)
Mg (0.558, 0.227, 0.665) (multiplicity 1)
Mg (0.584, 0.789, 0.550) (multiplicity 1)
Mg (0.686, 0.054, 0.338) (multiplicity 1)
Mg (0.776, 0.635, 0.203) (multiplicity 1)
Si (0.104, 0.930, 0.449) (multiplicity 1)
Si (0.228, 0.576, 0.091) (multiplicity 1)
Si (0.230, 0.217, 0.817) (multiplicity 1)
Si (0.334, 0.621, 0.741) (multiplicity 1)
Si (0.343, 0.220, 0.498) (multiplicity 1)
Si (0.485, 0.235, 0.163) (multiplicity 1)
Si (0.514, 0.905, 0.079) (multiplicity 1)
Si (0.588, 0.540, 0.397) (multiplicity 1)
Si (0.746, 0.629, 0.737) (multiplicity 1)
Si (0.826, 0.230, 0.815) (multiplicity 1)
Si (0.842, 0.238, 0.494) (multiplicity 1)
Si (0.915, 0.220, 0.149) (multiplicity 1)

Largest 12 diffraction maxima, in order of rising 2θ, 10° ≤ 2θ ≤ 80°:
two_theta, I (rel.), h k l
32.5, 40, 1 1 -3
34.9, 39, 1 2 0
35.7, 69, -1 2 2
36.0, 100, 1 -1 4
36.7, 44, 1 -2 1
37.0, 45, 2 1 3
37.8, 37, 1 1 -4
39.2, 41, 2 0 4
39.4, 49, 2 1 -2
39.6, 94, 0 1 6
40.6, 52, 0 2 -3
47.6, 47, 0 3 3

---

Entry 3:
# NaLi2La3Ti6O18
Computed X-ray powder pattern, a wavelength of 1.5418 Å. Input: a structure optimized by DFT (GGA-PBE).

Atomic structure:
Cell: 9.614 16.543 5.558 Å, 90.00 125.27 90.00°
Space group C2 (No. 5)
One atom of each set of equivalent atoms:
Na (0.000, 0.000, 0.000) (multiplicity 2)
Li (0.000, 0.583, 0.247) (multiplicity 4)
La (0.000, 0.167, 0.500) (multiplicity 2)
La (0.000, 0.337, 0.000) (multiplicity 2)
La (0.000, 0.830, 0.500) (multiplicity 2)
Ti (0.246, 0.001, 0.743) (multiplicity 4)
Ti (0.248, 0.163, 0.244) (multiplicity 4)
Ti (0.248, 0.837, 0.249) (multiplicity 4)
O (0.000, 0.010, 0.500) (multiplicity 2)
O (0.000, 0.160, 0.000) (multiplicity 2)
O (0.000, 0.337, 0.500) (multiplicity 2)
O (0.000, 0.494, 0.000) (multiplicity 2)
O (0.000, 0.672, 0.500) (multiplicity 2)
O (0.000, 0.826, 0.000) (multiplicity 2)
O (0.223, 0.247, 0.966) (multiplicity 4)
O (0.227, 0.257, 0.453) (multiplicity 4)
O (0.231, 0.916, 0.482) (multiplicity 4)
O (0.233, 0.906, 0.952) (multiplicity 4)
O (0.246, 0.580, 0.987) (multiplicity 4)
O (0.247, 0.590, 0.477) (multiplicity 4)

Largest 12 diffraction maxima, in order of rising 2θ, 10° ≤ 2θ ≤ 80°:
two_theta, I (rel.), h k l
10.7, 49, 0 2 0
12.5, 36, 1 1 0
16.8, 43, 1 1 -1
22.4, 23, 2 2 -1
32.3, 100, 2 0 -2
32.3, 68, 3 3 -1
32.5, 32, 0 6 0
46.3, 31, 4 0 0
46.4, 61, 2 6 -2
57.5, 40, 2 0 2
57.8, 26, 1 9 1
67.6, 33, 6 6 -2

---

Entry 4:
# Ba3CdGe2O8
Computed X-ray powder pattern, a wavelength of 1.5418 Å. Input: a structure optimized by DFT (GGA-PBE).

Atomic structure:
Cell: 5.9346 5.9346 7.6288 Å, 90.00 90.00 120.00°
Space group P-3m1 (No. 164)
One atom of each set of equivalent atoms:
Ba (0.0000, 0.0000, 0.0000) (multiplicity 1)
Ba (0.3333, 0.6667, 0.6640) (multiplicity 2)
Cd (0.0000, 0.0000, 0.5000) (multiplicity 1)
Ge (0.3333, 0.6667, 0.2160) (multiplicity 2)
O (0.1724, 0.3449, 0.3055) (multiplicity 6)
O (0.3333, 0.6667, 0.9886) (multiplicity 2)

Largest 12 diffraction maxima, in order of rising 2θ, 10° ≤ 2θ ≤ 80°:
two_theta, I (rel.), h k l
29.2, 87, 0 1 2
30.1, 100, 1 1 0
36.9, 7, 0 2 1
42.4, 44, 2 0 2
51.1, 14, 1 0 4
52.9, 33, 1 2 2
53.5, 19, 3 0 0
60.4, 12, 0 2 4
62.6, 16, 2 2 0
69.0, 12, 2 1 4
70.5, 14, 3 1 2
78.6, 7, 0 4 2

---

Entry 5:
# Zn2Cu2CNCl7
Computed X-ray powder pattern, a wavelength of 1.5418 Å. Input: a structure optimized by DFT (GGA-PBE).

Atomic structure:
Cell: 6.314 6.678 16.721 Å, 90.00 111.64 90.00°
Space group Pc (No. 7)
One atom of each set of equivalent atoms:
Zn (0.000, 0.162, 0.000) (multiplicity 2)
Zn (0.643, 0.308, 0.131) (multiplicity 2)
Cu (0.140, 0.307, 0.630) (multiplicity 2)
Cu (0.746, 0.179, 0.759) (multiplicity 2)
C (0.393, 0.312, 0.341) (multiplicity 2)
N (0.514, 0.339, 0.413) (multiplicity 2)
Cl (0.117, 0.158, 0.508) (multiplicity 2)
Cl (0.260, 0.339, 0.119) (multiplicity 2)
Cl (0.393, 0.205, 0.753) (multiplicity 2)
Cl (0.645, 0.178, 0.007) (multiplicity 2)
Cl (0.784, 0.358, 0.641) (multiplicity 2)
Cl (0.841, 0.150, 0.255) (multiplicity 2)
Cl (0.997, 0.319, 0.880) (multiplicity 2)

Largest 12 diffraction maxima, in order of rising 2θ, 10° ≤ 2θ ≤ 80°:
two_theta, I (rel.), h k l
11.4, 100, 0 0 2
14.4, 66, 0 1 1
15.2, 38, 1 0 -2
22.4, 40, 1 1 1
22.6, 44, 1 1 -3
26.5, 81, 0 1 4
26.7, 68, 0 2 0
28.3, 91, 2 0 -2
30.3, 53, 1 1 -5
39.3, 38, 2 2 -2
46.8, 41, 0 0 8
47.0, 64, 0 3 4

---

Entry 6:
# RbAlH8N4
Computed X-ray powder pattern, a wavelength of 1.5418 Å. Input: a structure optimized by DFT (GGA-PBE).

Atomic structure:
Cell: 9.123 9.123 4.548 Å, 90.00 90.00 90.00°
Space group P4/n (No. 85, origin choice 2)
One atom of each set of equivalent atoms:
Rb (0.250, 0.250, 0.138) (multiplicity 2)
Al (0.250, 0.750, 0.000) (multiplicity 2)
H (0.023, 0.533, 0.977) (multiplicity 8)
H (0.104, 0.848, 0.579) (multiplicity 8)
N (0.088, 0.770, 0.743) (multiplicity 8)

Largest 12 diffraction maxima, in order of rising 2θ, 10° ≤ 2θ ≤ 80°:
two_theta, I (rel.), h k l
19.5, 100, 2 0 0
21.8, 53, 1 0 1
27.7, 46, 2 2 0
31.0, 20, 3 1 0
34.1, 21, 2 2 1
35.5, 33, 3 0 1
40.8, 31, 2 3 1
44.4, 19, 2 4 0
45.7, 21, 1 2 2
48.9, 13, 4 2 1
54.2, 20, 3 2 2
65.6, 13, 6 1 1

---

Entry 7:
# BeI2
Computed X-ray powder pattern, a wavelength of 1.5418 Å. Input: a structure optimized by DFT (GGA-PBE).

Atomic structure:
Cell: 12.994 12.994 21.386 Å, 90.00 90.00 90.00°
Space group I4_1/acd (No. 142, origin choice 2)
One atom of each set of equivalent atoms:
Be (0.080, 0.126, 0.312) (multiplicity 32)
I (0.000, 0.250, 0.008) (multiplicity 16)
I (0.043, 0.036, 0.876) (multiplicity 32)
I (0.177, 0.000, 0.250) (multiplicity 16)

Largest 12 diffraction maxima, in order of rising 2θ, 10° ≤ 2θ ≤ 80°:
two_theta, I (rel.), h k l
19.7, 20, 2 1 3
25.6, 100, 2 2 4
27.5, 24, 4 0 0
27.7, 12, 3 2 3
28.6, 22, 4 1 1
32.5, 10, 3 2 5
33.5, 18, 0 0 8
41.2, 9, 4 1 7
43.9, 14, 4 0 8
44.9, 10, 5 4 1
47.9, 8, 4 1 9
55.3, 10, 2 2 12